The following is a theoretical X-ray diffraction stick pattern of AcInGaAu6. It was derived from DFT lattice parameters and positions (PBE), using CuKα.

Main lines, in order of falling intensity (15° ≤ 2θ ≤ 90°):
2θ/deg, I_rel
29.6, 100
37.0, 63
37.9, 60
40.6, 51
35.2, 49
32.9, 41
37.2, 27
73.8, 24

Atomic structure:
```
AcInGaAu6
1.0
-3.8535 4.8648 5.4457
3.8535 -4.8648 5.4457
3.8535 4.8648 -5.4457
Ac In Ga Au
2 2 2 12
Cartesian
0.0000 2.4324 2.3816
3.8535 2.4324 3.0641
1.9267 2.4324 -2.7229
1.9267 -2.4324 2.7229
0.0000 0.0000 0.0000
0.0000 4.8648 0.0000
2.3505 0.1603 1.3756
5.3565 0.1603 1.3756
3.8535 -2.4324 4.6928
3.8535 2.4324 -0.3049
2.3505 5.0251 -1.3756
1.5030 0.1603 4.0701
2.3505 4.7045 1.3756
1.5030 -0.1603 6.8214
0.0000 2.4324 5.7507
0.0000 7.2972 0.7529
-1.5030 4.7045 4.0701
1.5030 4.7045 4.0701
```

The following is a theoretical X-ray diffraction stick pattern of MgAgSn3. It was derived from DFT lattice parameters and positions (PBE), using CuKα.

Main lines, in order of falling intensity (15° ≤ 2θ ≤ 90°):
2θ/deg, I_rel
33.3, 100
16.5, 94
47.8, 73
28.7, 59
37.4, 50
79.7, 34
56.7, 28
89.1, 27

Atomic structure:
```
MgAgSn3
1.0
5.3827 0.0000 0.0000
0.0000 5.3827 0.0000
0.0000 0.0000 5.3827
Mg Ag Sn
1 1 3
Cartesian
0.0000 0.0000 0.0000
2.6913 2.6913 2.6913
0.0000 2.6913 2.6913
2.6913 0.0000 2.6913
2.6913 2.6913 0.0000
```

The following is a theoretical X-ray diffraction stick pattern of HfZrCdAg. It was derived from DFT lattice parameters and positions (PBE), using CuKα.

Main lines, in order of falling intensity (15° ≤ 2θ ≤ 90°):
2θ/deg, I_rel
37.4, 100
37.5, 47
36.5, 41
33.7, 29
66.3, 26
70.5, 23
58.1, 21
42.8, 16

Atomic structure:
```
HfZrCdAg
1.0
2.7473 -1.5948 0.0000
2.7473 1.5948 0.0000
-0.0030 0.0000 9.8542
Hf Zr Cd Ag
1 1 1 1
Cartesian
0.0000 0.0000 0.0000
3.6504 0.0000 7.4058
0.0062 0.0000 4.7932
1.8499 0.0000 2.3948
```